For Ce2H5Pt5, a crystal structure in Alexandria, relaxed with GGA-PBE gives the computed X-ray diffraction stick pattern in this record (copper Kα).

Largest 8 diffraction maxima, by intensity, 5° ≤ 2θ ≤ 70°:
two_theta, I/Imax, h k l
23.08, 100.0, 1 0 -1
32.59, 96.7, 1 1 1
42.84, 72.6, 1 3 -1
46.83, 72.3, 2 2 0
37.08, 59.9, 1 0 -2
38.71, 57.9, 1 2 1
35.57, 57.1, 0 3 0
18.23, 50.5, 0 0 1

```
Ce2H5Pt5
1.0
4.6813 0.0000 0.0000
0.0000 7.5711 0.0000
-1.3225 0.0000 4.8676
Ce H Pt
2 5 5
direct
0.0000 0.0000 0.0000
0.5000 0.5000 0.0000
0.0000 0.3279 0.0000
0.0000 0.5000 0.5000
0.0000 0.6721 0.0000
0.5000 0.0531 0.0000
0.5000 0.9469 0.0000
0.2121 0.3092 0.3528
0.2121 0.6908 0.3528
0.5000 0.0000 0.5000
0.7879 0.3092 0.6472
0.7879 0.6908 0.6472
```